# CeTl2S3
Calculated powder XRD pattern, Cu Kα (weighted mean of Kα1 and Kα2). Input: the GGA-PBE geometry in Alexandria.
No peak broadening, texture or thermal motion is included.

Structure:
a = 7.305 Å, b = 7.305 Å, c = 7.742 Å
α = 98.86°, β = 98.86°, γ = 119.27°
Fractional positions:
Ce1 0.168 0.832 0.000
Ce2 0.832 0.168 0.000
Tl1 0.000 0.000 0.500
Tl2 0.345 0.655 0.500
Tl3 0.500 0.500 0.000
Tl4 0.655 0.345 0.500
S1 0.048 0.428 0.787
S2 0.189 0.189 0.197
S3 0.428 0.048 0.787
S4 0.572 0.952 0.213
S5 0.811 0.811 0.803
S6 0.952 0.572 0.213

The 10 most intense peaks (2θ = 10–80°), in order of rising 2θ:
- d 3.687, I 28
- d 3.517, I 24
- d 3.461, I 45
- d 3.055, I 100
- d 2.228, I 13
- d 2.197, I 25
- d 2.124, I 23
- d 2.101, I 11
- d 1.731, I 11
- d 1.385, I 14

=====

# CeTl4S4
Calculated powder XRD pattern, Cu Kα (weighted mean of Kα1 and Kα2). Input: the GGA-PBE geometry in Alexandria.
No peak broadening, texture or thermal motion is included.

Structure:
a = 7.451 Å, b = 7.451 Å, c = 10.583 Å
α = 119.56°, β = 119.56°, γ = 32.66°
Fractional positions:
Ce1 0.000 0.000 0.000
Tl1 0.201 0.201 0.777
Tl2 0.414 0.414 0.607
Tl3 0.586 0.586 0.393
Tl4 0.799 0.799 0.223
S1 0.169 0.169 0.283
S2 0.404 0.404 0.064
S3 0.596 0.596 0.936
S4 0.831 0.831 0.717

The 10 most intense peaks (2θ = 10–80°), in order of rising 2θ:
- d 3.525, I 45
- d 3.502, I 42
- d 3.431, I 81
- d 3.017, I 100
- d 2.987, I 47
- d 2.128, I 33
- d 2.117, I 34
- d 2.095, I 19
- d 1.799, I 41
- d 1.716, I 19

=====

# Ce2TmTl3S6
Calculated powder XRD pattern, Cu Kα (weighted mean of Kα1 and Kα2). Input: the GGA-PBE geometry in Alexandria.
No peak broadening, texture or thermal motion is included.

Structure:
a = 7.141 Å, b = 7.141 Å, c = 7.864 Å
α = 98.70°, β = 98.70°, γ = 119.97°
Fractional positions:
Ce1 0.167 0.833 0.000
Ce2 0.833 0.167 0.000
Tm1 0.500 0.500 0.000
Tl1 0.000 0.000 0.500
Tl2 0.333 0.667 0.500
Tl3 0.667 0.333 0.500
S1 0.112 0.434 0.802
S2 0.245 0.245 0.200
S3 0.434 0.112 0.802
S4 0.566 0.888 0.198
S5 0.755 0.755 0.800
S6 0.888 0.566 0.198

The 10 most intense peaks (2θ = 10–80°), in order of rising 2θ:
- d 3.748, I 29
- d 3.403, I 64
- d 3.014, I 100
- d 2.209, I 38
- d 2.062, I 35
- d 1.903, I 16
- d 1.806, I 25
- d 1.702, I 18
- d 1.507, I 11
- d 1.387, I 15

=====

# CeTm2S5
Calculated powder XRD pattern, Cu Kα (weighted mean of Kα1 and Kα2). Input: the GGA-PBE geometry in Alexandria.
No peak broadening, texture or thermal motion is included.

Structure:
a = 7.042 Å, b = 7.042 Å, c = 13.138 Å
α = 90.00°, β = 90.00°, γ = 136.08°
Fractional positions:
Ce1 0.201 0.799 0.750
Ce2 0.799 0.201 0.250
Tm1 0.144 0.856 0.055
Tm2 0.144 0.856 0.445
Tm3 0.856 0.144 0.555
Tm4 0.856 0.144 0.945
S1 0.046 0.954 0.621
S2 0.046 0.954 0.879
S3 0.233 0.767 0.250
S4 0.314 0.686 0.569
S5 0.314 0.686 0.931
S6 0.686 0.314 0.069
S7 0.686 0.314 0.431
S8 0.767 0.233 0.750
S9 0.954 0.046 0.121
S10 0.954 0.046 0.379

The 10 most intense peaks (2θ = 10–80°), in order of rising 2θ:
- d 6.541, I 73
- d 4.884, I 100
- d 3.637, I 79
- d 3.356, I 47
- d 3.261, I 62
- d 2.924, I 30
- d 2.633, I 50
- d 2.618, I 31
- d 2.440, I 31
- d 2.133, I 37